# 1
Structure and calculated powder X-ray diffraction pattern of Ac8LaTb5 (a cell relaxed with GGA-PBE; CuKα).
Peak positions follow from Bragg's law for the DFT cell and can differ from measured ones.

Structure:
abc: 9.0667 9.0667 9.0667
angles: 111.49 111.49 105.50
Sites, in units of the cell vectors:
Ac 0.0862 0.6803 0.7697
Ac 0.1723 0.2767 0.7566
Ac 0.3197 0.0894 0.4059
Ac 0.5201 0.4157 0.2434
Ac 0.5843 0.8277 0.1044
Ac 0.6835 0.9138 0.5941
Ac 0.7233 0.4799 0.8956
Ac 0.9106 0.3165 0.2303
La 0.0000 0.0000 0.0000
Tb 0.2186 0.6248 0.1994
Tb 0.3752 0.5746 0.5939
Tb 0.4254 0.0193 0.8006
Tb 0.7500 0.2500 0.5000
Tb 0.9807 0.7814 0.4061

Top 12 peaks for 2θ = 10–80°, low angle first:
2θ = 21.08°, d 4.215, intensity 21; 2θ = 25.87°, d 3.444, intensity 60; 2θ = 27.45°, d 3.250, intensity 61; 2θ = 27.64°, d 3.227, intensity 74; 2θ = 29.63°, d 3.015, intensity 26; 2θ = 31.33°, d 2.855, intensity 100; 2θ = 32.17°, d 2.782, intensity 47; 2θ = 32.67°, d 2.741, intensity 50; 2θ = 45.18°, d 2.007, intensity 19; 2θ = 51.25°, d 1.783, intensity 21; 2θ = 52.13°, d 1.755, intensity 22; 2θ = 57.95°, d 1.592, intensity 21



# 2
Structure and calculated powder X-ray diffraction pattern of Ac3La7Tb2 (a cell relaxed with GGA-PBE; CuKα).
Peak positions follow from Bragg's law for the DFT cell and can differ from measured ones.

Structure:
abc: 11.1146 11.1146 11.1146
angles: 37.81 37.81 37.81
Sites, in units of the cell vectors:
Ac 0.0000 0.0000 0.0000
Ac 0.1325 0.1325 0.1325
Ac 0.8675 0.8675 0.8675
La 0.0530 0.6086 0.6086
La 0.3914 0.3914 0.9470
La 0.3914 0.9470 0.3914
La 0.5000 0.5000 0.5000
La 0.6086 0.0530 0.6086
La 0.6086 0.6086 0.0530
La 0.9470 0.3914 0.3914
Tb 0.3404 0.3404 0.3404
Tb 0.6596 0.6596 0.6596

Top 12 peaks for 2θ = 10–80°, low angle first:
2θ = 24.72°, d 3.601, intensity 70; 2θ = 25.93°, d 3.436, intensity 17; 2θ = 27.14°, d 3.286, intensity 51; 2θ = 28.77°, d 3.103, intensity 42; 2θ = 30.28°, d 2.952, intensity 100; 2θ = 30.92°, d 2.892, intensity 27; 2θ = 32.15°, d 2.784, intensity 40; 2θ = 43.51°, d 2.080, intensity 31; 2θ = 47.14°, d 1.928, intensity 34; 2θ = 50.70°, d 1.801, intensity 42; 2θ = 51.05°, d 1.789, intensity 19; 2θ = 71.73°, d 1.316, intensity 16



# 3
Structure and calculated powder X-ray diffraction pattern of Ac8LaTb3 (a cell relaxed with GGA-PBE; CuKα).
Peak positions follow from Bragg's law for the DFT cell and can differ from measured ones.

Structure:
abc: 10.2107 10.2107 10.8639
angles: 121.77 121.77 31.27
Sites, in units of the cell vectors:
Ac 0.0000 0.0000 0.0000
Ac 0.0002 0.0002 0.4859
Ac 0.1665 0.1665 0.8998
Ac 0.3323 0.3323 0.3242
Ac 0.4991 0.4991 0.7430
Ac 0.6648 0.6648 0.1659
Ac 0.8300 0.8300 0.5839
Ac 0.8320 0.8320 0.0660
La 0.1652 0.1652 0.4185
Tb 0.3307 0.3307 0.8248
Tb 0.5004 0.5004 0.2446
Tb 0.6653 0.6653 0.6525

Top 12 peaks for 2θ = 10–80°, low angle first:
2θ = 28.17°, d 3.168, intensity 100; 2θ = 28.30°, d 3.153, intensity 97; 2θ = 32.58°, d 2.748, intensity 68; 2θ = 32.98°, d 2.716, intensity 32; 2θ = 46.75°, d 1.943, intensity 25; 2θ = 47.01°, d 1.933, intensity 24; 2θ = 55.45°, d 1.657, intensity 46; 2θ = 55.68°, d 1.651, intensity 15; 2θ = 55.92°, d 1.644, intensity 14; 2θ = 56.15°, d 1.638, intensity 14; 2θ = 58.25°, d 1.584, intensity 13; 2θ = 77.79°, d 1.228, intensity 14



# 4
Structure and calculated powder X-ray diffraction pattern of AcLa6Tb3 (a cell relaxed with GGA-PBE; CuKα).
Peak positions follow from Bragg's law for the DFT cell and can differ from measured ones.

Structure:
abc: 7.2018 7.2018 7.2018
angles: 89.87 89.87 89.87
Sites, in units of the cell vectors:
Ac 0.0000 0.0000 0.0000
La 0.0000 0.3375 0.6625
La 0.1746 0.8254 0.5000
La 0.3375 0.6624 0.0000
La 0.5000 0.1746 0.8254
La 0.6624 0.0000 0.3375
La 0.8254 0.5000 0.1746
Tb 0.2593 0.2593 0.2593
Tb 0.5000 0.5000 0.5000
Tb 0.7407 0.7407 0.7407

Top 12 peaks for 2θ = 10–80°, low angle first:
2θ = 17.43°, d 5.087, intensity 11; 2θ = 27.67°, d 3.224, intensity 48; 2θ = 30.42°, d 2.938, intensity 100; 2θ = 35.22°, d 2.548, intensity 13; 2θ = 39.55°, d 2.279, intensity 17; 2θ = 41.60°, d 2.171, intensity 16; 2θ = 47.20°, d 1.926, intensity 13; 2θ = 52.41°, d 1.746, intensity 16; 2θ = 53.98°, d 1.699, intensity 18; 2θ = 54.09°, d 1.696, intensity 16; 2θ = 63.32°, d 1.469, intensity 14; 2θ = 71.74°, d 1.316, intensity 8



# 5
Structure and calculated powder X-ray diffraction pattern of AcLa4Tb4 (a cell relaxed with GGA-PBE; CuKα).
Peak positions follow from Bragg's law for the DFT cell and can differ from measured ones.

Structure:
abc: 6.3907 9.7675 11.0725
angles: 100.71 106.73 96.38
Sites, in units of the cell vectors:
Ac 0.2498 0.0824 0.3027
Ac 0.7502 0.9176 0.6973
La 0.2465 0.7450 0.0813
La 0.2495 0.7437 0.7521
La 0.2512 0.4172 0.5297
La 0.2529 0.0874 0.6428
La 0.7471 0.9126 0.3572
La 0.7488 0.5828 0.4703
La 0.7505 0.2563 0.2479
La 0.7535 0.2550 0.9187
Tb 0.2407 0.7435 0.4137
Tb 0.2503 0.4213 0.1913
Tb 0.2515 0.4161 0.8644
Tb 0.2558 0.0851 0.9730
Tb 0.7442 0.9149 0.0270
Tb 0.7485 0.5839 0.1356
Tb 0.7497 0.5787 0.8087
Tb 0.7593 0.2565 0.5863

Top 12 peaks for 2θ = 10–80°, low angle first:
2θ = 29.59°, d 3.019, intensity 34; 2θ = 29.65°, d 3.013, intensity 100; 2θ = 34.35°, d 2.610, intensity 68; 2θ = 49.33°, d 1.847, intensity 24; 2θ = 49.42°, d 1.844, intensity 24; 2θ = 58.60°, d 1.575, intensity 29; 2θ = 58.70°, d 1.573, intensity 29; 2θ = 61.45°, d 1.509, intensity 8; 2θ = 61.56°, d 1.506, intensity 4; 2θ = 61.65°, d 1.504, intensity 4; 2θ = 72.39°, d 1.305, intensity 5; 2θ = 79.96°, d 1.200, intensity 4



# 6
Structure and calculated powder X-ray diffraction pattern of Ac2LaTb6 (a cell relaxed with GGA-PBE; CuKα).
Peak positions follow from Bragg's law for the DFT cell and can differ from measured ones.

Structure:
abc: 10.0787 10.0787 3.6389
angles: 90.00 90.00 120.00
Sites, in units of the cell vectors:
Ac 0.3333 0.6667 0.2698
Ac 0.6667 0.3333 0.7302
La 0.0000 0.0000 0.5000
Tb 0.0199 0.6748 0.7748
Tb 0.3252 0.3452 0.7748
Tb 0.3452 0.0199 0.2252
Tb 0.6548 0.9801 0.7748
Tb 0.6748 0.6548 0.2252
Tb 0.9801 0.3252 0.2252

Top 12 peaks for 2θ = 10–80°, low angle first:
2θ = 26.54°, d 3.359, intensity 15; 2θ = 30.30°, d 2.950, intensity 66; 2θ = 30.73°, d 2.909, intensity 100; 2θ = 32.02°, d 2.795, intensity 21; 2θ = 36.77°, d 2.444, intensity 20; 2θ = 43.70°, d 2.072, intensity 23; 2θ = 52.14°, d 1.754, intensity 14; 2θ = 54.37°, d 1.688, intensity 23; 2θ = 54.64°, d 1.680, intensity 21; 2θ = 59.97°, d 1.543, intensity 18; 2θ = 64.01°, d 1.455, intensity 15; 2θ = 72.44°, d 1.305, intensity 8